The following is a simulated PXRD pattern of Dy2Ga5Hg. It was derived from the GGA-PBE geometry in OQMD, using CuKα.

Structural model:
Unit cell a=4.610 b=6.332 c=6.332 alpha=61.07 beta=90.00 gamma=90.00
Fractional coordinates of all 8 atoms:
Dy1 0.000 0.000 0.000
Dy2 0.500 0.321 0.321
Ga1 0.000 0.508 0.953
Ga2 0.000 0.510 0.510
Ga3 0.000 0.953 0.508
Ga4 0.500 0.353 0.804
Ga5 0.500 0.804 0.353
Hg1 0.500 0.821 0.821

Most intense lines, 2θ from 5° to 70°, by angle:
2theta	d_spacing	intensity
25.3	3.521	23
27.7	3.217	9
32.3	2.771	24
32.8	2.727	15
37.9	2.375	100
38.3	2.347	44
39.1	2.305	31
51.6	1.772	13
57.3	1.609	9
58.3	1.583	17